For TcMo7, a crystal structure in Alexandria, relaxed with PBE gives the computed powder XRD pattern in this record (a wavelength of 1.5418 Å).
Neutral-atom scattering factors, no anomalous dispersion.

Top 2 peaks for 5 to 70 degrees two-theta, by angle:
- 2θ = 40.42°, intensity 100
- 2θ = 58.49°, intensity 16

Atomic structure:
```
data_TcMo7
_cell_length_a 6.312
_cell_length_b 6.312
_cell_length_c 6.312
_cell_angle_alpha 89.92
_cell_angle_beta 89.92
_cell_angle_gamma 89.92
_space_group_name_H-M_alt 'P 1'
_space_group_IT_number 1
_space_group_name_Hall 'P 1'
loop_
_atom_site_label
_atom_site_type_symbol
_atom_site_fract_x
_atom_site_fract_y
_atom_site_fract_z
_atom_site_occupancy
Tc1 Tc 0.128 0.128 0.128 1
Tc2 Tc 0.872 0.872 0.872 1
Mo1 Mo 0.126 0.126 0.627 1
Mo2 Mo 0.126 0.627 0.126 1
Mo3 Mo 0.127 0.625 0.625 1
Mo4 Mo 0.373 0.874 0.874 1
Mo5 Mo 0.374 0.374 0.374 1
Mo6 Mo 0.375 0.375 0.873 1
Mo7 Mo 0.375 0.873 0.375 1
Mo8 Mo 0.625 0.127 0.625 1
Mo9 Mo 0.625 0.625 0.127 1
Mo10 Mo 0.626 0.626 0.626 1
Mo11 Mo 0.627 0.126 0.126 1
Mo12 Mo 0.873 0.375 0.375 1
Mo13 Mo 0.874 0.373 0.874 1
Mo14 Mo 0.874 0.874 0.373 1
```